# 1
This entry pairs a crystal structure of Tl2GePtSe4 with its calculated PXRD pattern. Radiation: CuKα. Structure: the PBE geometry in Alexandria.
Neutral-atom scattering factors, no anomalous dispersion.

Top 8 peaks for 2θ from 5° to 70°, low angle first:
2θ 14.43, I = 1000, (1 1 1); 2θ 21.83, I = 701, (1 3 1); 2θ 25.35, I = 577, (1 3 3); 2θ 27.62, I = 870, (2 2 0); 2θ 29.61, I = 990, (0 2 6); 2θ 34.81, I = 555, (1 1 7); 2θ 43.50, I = 608, (2 6 0); 2θ 44.33, I = 993, (2 4 6)

Structural model:
a = 7.117 Å, b = 15.385 Å, c = 19.678 Å
α = 90.00°, β = 90.00°, γ = 90.00°
Space group Fddd (No. 70, origin choice 2)
Inequivalent atoms, fractional coordinates:
1 Tl 0.125 0.125 0.282 [16 per cell]
2 Ge 0.125 0.125 0.625 [8 per cell]
3 Pt 0.125 0.125 0.125 [8 per cell]
4 Se 0.121 0.271 0.847 [32 per cell]



# 2
This entry pairs a crystal structure of Tm8Ge3PtSe4 with its calculated PXRD pattern. Radiation: CuKα. Structure: the PBE geometry in Alexandria.
Neutral-atom scattering factors, no anomalous dispersion.

Top 8 peaks for 2θ from 5° to 70°, low angle first:
2θ 26.44, I = 39, (0 0 6); 2θ 26.90, I = 120, (2 0 2); 2θ 31.03, I = 1000, (0 2 4); 2θ 44.15, I = 370, (2 0 8); 2θ 44.75, I = 369, (2 2 0); 2θ 54.43, I = 63, (0 0 12); 2θ 55.45, I = 194, (4 0 4); 2θ 64.68, I = 119, (0 4 8)

Structural model:
a = 8.1015 Å, b = 8.1015 Å, c = 20.2267 Å
α = 90.00°, β = 90.00°, γ = 120.00°
Space group R-3m (No. 166, hexagonal axes)
Inequivalent atoms, fractional coordinates:
1 Tm 0.0000 0.0000 0.2458 [6 per cell]
2 Tm 0.0003 0.5001 0.2450 [18 per cell]
3 Ge 0.0000 0.5000 0.5000 [9 per cell]
4 Pt 0.0000 0.0000 0.5000 [3 per cell]
5 Se 0.0000 0.0000 0.0000 [3 per cell]
6 Se 0.0000 0.5000 0.0000 [9 per cell]



# 3
This entry pairs a crystal structure of SiGePt2 with its calculated PXRD pattern. Radiation: CuKα. Structure: the PBE geometry in Alexandria.
Neutral-atom scattering factors, no anomalous dispersion.

Top 8 peaks for 2θ from 5° to 70°, low angle first:
2θ 27.36, I = 362, (0 0 2); 2θ 28.22, I = 1000, (0 4 1); 2θ 31.84, I = 467, (2 0 0); 2θ 39.86, I = 260, (0 6 1); 2θ 42.47, I = 523, (2 0 2); 2θ 43.05, I = 971, (2 4 1); 2θ 44.89, I = 463, (1 5 2); 2θ 45.17, I = 395, (1 1 3)

Structural model:
a = 5.622 Å, b = 14.468 Å, c = 6.519 Å
α = 90.00°, β = 90.00°, γ = 90.00°
Space group Pbca (No. 61)
Inequivalent atoms, fractional coordinates:
1 Si 0.185 0.060 0.058 [8 per cell]
2 Ge 0.176 0.687 0.563 [8 per cell]
3 Pt 0.010 0.053 0.708 [8 per cell]
4 Pt 0.015 0.660 0.189 [8 per cell]



# 4
This entry pairs a crystal structure of Sm2SiGe3Pt4 with its calculated PXRD pattern. Radiation: CuKα. Structure: the PBE geometry in Alexandria.
Neutral-atom scattering factors, no anomalous dispersion.

Top 8 peaks for 2θ from 5° to 70°, low angle first:
2θ 30.42, I = 502, (1 1 1); 2θ 34.00, I = 829, (1 0 3); 2θ 34.28, I = 1000, (1 1 2); 2θ 41.52, I = 872, (2 0 0); 2θ 46.99, I = 360, (1 1 4); 2θ 50.43, I = 288, (1 0 5); 2θ 54.71, I = 430, (2 1 3); 2θ 60.17, I = 294, (2 2 0)

Structural model:
a = 4.350 Å, b = 4.350 Å, c = 9.947 Å
α = 90.00°, β = 90.00°, γ = 90.00°
Space group P-4m2 (No. 115)
Inequivalent atoms, fractional coordinates:
1 Sm 0.000 0.500 0.246 [2 per cell]
2 Si 0.500 0.500 0.000 [1 per cell]
3 Ge 0.000 0.000 0.000 [1 per cell]
4 Ge 0.000 0.500 0.633 [2 per cell]
5 Pt 0.000 0.000 0.500 [1 per cell]
6 Pt 0.000 0.500 0.882 [2 per cell]
7 Pt 0.500 0.500 0.500 [1 per cell]



# 5
This entry pairs a crystal structure of Sr2SiGe3Pt4 with its calculated PXRD pattern. Radiation: CuKα. Structure: the PBE geometry in Alexandria.
Neutral-atom scattering factors, no anomalous dispersion.

Top 8 peaks for 2θ from 5° to 70°, low angle first:
2θ 17.35, I = 341, (0 0 2); 2θ 29.99, I = 681, (1 1 1); 2θ 33.24, I = 831, (1 0 3); 2θ 33.69, I = 970, (1 1 2); 2θ 40.97, I = 1000, (2 0 0); 2θ 45.94, I = 714, (1 1 4); 2θ 53.74, I = 434, (2 1 3); 2θ 59.33, I = 338, (2 2 0)

Structural model:
a = 4.406 Å, b = 4.406 Å, c = 10.220 Å
α = 90.00°, β = 90.00°, γ = 90.00°
Space group P-4m2 (No. 115)
Inequivalent atoms, fractional coordinates:
1 Sr 0.000 0.500 0.245 [2 per cell]
2 Si 0.500 0.500 0.000 [1 per cell]
3 Ge 0.000 0.000 0.000 [1 per cell]
4 Ge 0.000 0.500 0.629 [2 per cell]
5 Pt 0.000 0.000 0.500 [1 per cell]
6 Pt 0.000 0.500 0.882 [2 per cell]
7 Pt 0.500 0.500 0.500 [1 per cell]



# 6
This entry pairs a crystal structure of Tm2SiGePt6 with its calculated PXRD pattern. Radiation: CuKα. Structure: the PBE geometry in Alexandria.
Neutral-atom scattering factors, no anomalous dispersion.

Top 8 peaks for 2θ from 5° to 70°, low angle first:
2θ 20.89, I = 436, (2 0 0); 2θ 28.96, I = 425, (3 1 -1); 2θ 36.09, I = 949, (2 0 -3); 2θ 36.36, I = 666, (2 2 -1); 2θ 39.15, I = 822, (2 2 0); 2θ 40.25, I = 1000, (2 2 -2); 2θ 42.66, I = 407, (1 1 2); 2θ 42.83, I = 393, (5 1 -2)

Structural model:
a = 11.517 Å, b = 5.473 Å, c = 7.807 Å
α = 90.00°, β = 132.40°, γ = 90.00°
Space group C2/m (No. 12)
Inequivalent atoms, fractional coordinates:
1 Tm 0.001 0.000 0.252 [4 per cell]
2 Si 0.000 0.500 0.000 [2 per cell]
3 Ge 0.000 0.500 0.500 [2 per cell]
4 Pt 0.160 0.500 0.914 [4 per cell]
5 Pt 0.242 0.251 0.300 [8 per cell]



# 7
This entry pairs a crystal structure of Tm3Si2GePt9 with its calculated PXRD pattern. Radiation: CuKα. Structure: the PBE geometry in Alexandria.
Neutral-atom scattering factors, no anomalous dispersion.

Top 8 peaks for 2θ from 5° to 70°, low angle first:
2θ 10.18, I = 304, (0 0 1); 2θ 30.87, I = 187, (0 0 3); 2θ 33.93, I = 1000, (0 2 1); 2θ 38.51, I = 896, (2 0 2); 2θ 41.57, I = 206, (0 0 4); 2θ 45.27, I = 302, (2 0 3); 2θ 57.56, I = 253, (2 2 0); 2θ 63.13, I = 181, (0 2 5)

Structural model:
a = 6.4051 Å, b = 6.4051 Å, c = 8.6894 Å
α = 90.00°, β = 90.00°, γ = 120.00°
Space group P-3m1 (No. 164)
Inequivalent atoms, fractional coordinates:
1 Tm 0.0000 0.0000 0.0000 [1 per cell]
2 Tm 0.3333 0.6667 0.7316 [2 per cell]
3 Si 0.3333 0.6667 0.1865 [2 per cell]
4 Ge 0.0000 0.0000 0.5000 [1 per cell]
5 Pt 0.0000 0.5000 0.0000 [3 per cell]
6 Pt 0.1426 0.2852 0.2770 [6 per cell]



# 8
This entry pairs a crystal structure of YSi2Ge2Pt7 with its calculated PXRD pattern. Radiation: CuKα. Structure: the PBE geometry in Alexandria.
Neutral-atom scattering factors, no anomalous dispersion.

Top 8 peaks for 2θ from 5° to 70°, low angle first:
2θ 6.10, I = 1000, (0 0 1); 2θ 30.85, I = 336, (0 0 5); 2θ 34.56, I = 374, (0 2 2); 2θ 35.55, I = 499, (2 0 -3); 2θ 35.90, I = 520, (2 0 2); 2θ 37.32, I = 616, (0 2 3); 2θ 43.73, I = 308, (0 0 7); 2θ 46.21, I = 736, (2 2 -1)

Structural model:
a = 5.579 Å, b = 5.559 Å, c = 14.575 Å
α = 90.00°, β = 96.18°, γ = 90.00°
Space group C2/m (No. 12)
Inequivalent atoms, fractional coordinates:
1 Y 0.000 0.000 0.000 [2 per cell]
2 Si 0.074 0.500 0.250 [4 per cell]
3 Ge 0.152 0.000 0.423 [4 per cell]
4 Pt 0.000 0.500 0.000 [2 per cell]
5 Pt 0.099 0.500 0.411 [4 per cell]
6 Pt 0.204 0.250 0.845 [8 per cell]



# 9
This entry pairs a crystal structure of Y2Si4GePt3 with its calculated PXRD pattern. Radiation: CuKα. Structure: the PBE geometry in Alexandria.
Neutral-atom scattering factors, no anomalous dispersion.

Top 8 peaks for 2θ from 5° to 70°, low angle first:
2θ 27.77, I = 725, (1 0 2); 2θ 31.09, I = 1000, (1 1 1); 2θ 34.63, I = 967, (1 0 3); 2θ 35.00, I = 878, (1 1 2); 2θ 42.48, I = 929, (2 0 0); 2θ 47.90, I = 499, (1 1 4); 2θ 55.92, I = 488, (2 1 3); 2θ 61.64, I = 336, (2 2 0)

Structural model:
a = 4.256 Å, b = 4.256 Å, c = 9.792 Å
α = 90.00°, β = 90.00°, γ = 90.00°
Space group P-4m2 (No. 115)
Inequivalent atoms, fractional coordinates:
1 Y 0.000 0.500 0.246 [2 per cell]
2 Si 0.000 0.000 0.000 [1 per cell]
3 Si 0.000 0.500 0.638 [2 per cell]
4 Si 0.500 0.500 0.000 [1 per cell]
5 Ge 0.000 0.000 0.500 [1 per cell]
6 Pt 0.000 0.500 0.879 [2 per cell]
7 Pt 0.500 0.500 0.500 [1 per cell]



# 10
This entry pairs a crystal structure of Sm2Ge3Pt2 with its calculated PXRD pattern. Radiation: CuKα. Structure: the PBE geometry in Alexandria.
Neutral-atom scattering factors, no anomalous dispersion.

Top 8 peaks for 2θ from 5° to 70°, low angle first:
2θ 9.59, I = 838, (0 2 0); 2θ 33.08, I = 1000, (1 1 2); 2θ 34.45, I = 831, (1 5 1); 2θ 35.91, I = 478, (1 3 2); 2θ 41.07, I = 367, (1 5 2); 2θ 42.13, I = 561, (2 0 0); 2θ 42.89, I = 519, (0 4 3); 2θ 61.69, I = 358, (2 4 3)

Structural model:
a = 4.289 Å, b = 18.448 Å, c = 7.113 Å
α = 90.00°, β = 90.00°, γ = 90.00°
Space group Cmcm (No. 63)
Inequivalent atoms, fractional coordinates:
1 Sm 0.000 0.054 0.250 [4 per cell]
2 Sm 0.000 0.155 0.750 [4 per cell]
3 Ge 0.000 0.224 0.250 [4 per cell]
4 Ge 0.000 0.437 0.066 [8 per cell]
5 Pt 0.000 0.306 0.548 [8 per cell]



# 11
This entry pairs a crystal structure of Sm3GePt8 with its calculated PXRD pattern. Radiation: CuKα. Structure: the PBE geometry in Alexandria.
Neutral-atom scattering factors, no anomalous dispersion.

Top 8 peaks for 2θ from 5° to 70°, low angle first:
2θ 19.82, I = 266, (0 0 6); 2θ 32.65, I = 146, (1 1 0); 2θ 38.49, I = 1000, (2 0 2); 2θ 40.27, I = 574, (0 0 12); 2θ 46.84, I = 163, (2 0 8); 2θ 51.32, I = 100, (0 1 14); 2θ 62.18, I = 288, (3 0 6); 2θ 68.41, I = 282, (2 2 0)

Structural model:
a = 5.4832 Å, b = 5.4832 Å, c = 26.9034 Å
α = 90.00°, β = 90.00°, γ = 120.00°
Space group R3m (No. 160, hexagonal axes)
Inequivalent atoms, fractional coordinates:
1 Sm 0.0000 0.0000 0.0000 [3 per cell]
2 Sm 0.0000 0.0000 0.1325 [3 per cell]
3 Sm 0.0000 0.0000 0.5250 [3 per cell]
4 Ge 0.0000 0.0000 0.6675 [3 per cell]
5 Pt 0.0000 0.0000 0.3206 [3 per cell]
6 Pt 0.0000 0.0000 0.8228 [3 per cell]
7 Pt 0.0078 0.5039 0.0745 [9 per cell]
8 Pt 0.1685 0.3371 0.9041 [9 per cell]



# 12
This entry pairs a crystal structure of Sm2Ge3Pt with its calculated PXRD pattern. Radiation: CuKα. Structure: the PBE geometry in Alexandria.
Neutral-atom scattering factors, no anomalous dispersion.

Top 8 peaks for 2θ from 5° to 70°, low angle first:
2θ 16.03, I = 45, (1 1 1); 2θ 23.46, I = 79, (1 1 3); 2θ 24.19, I = 33, (0 0 4); 2θ 32.38, I = 1000, (2 2 2); 2θ 42.56, I = 470, (0 4 0); 2θ 43.16, I = 150, (4 0 0); 2θ 54.47, I = 229, (2 0 8); 2θ 62.22, I = 304, (4 4 0)

Structural model:
a = 8.384 Å, b = 8.487 Å, c = 14.734 Å
α = 90.00°, β = 90.00°, γ = 90.00°
Space group Fmmm (No. 69)
Inequivalent atoms, fractional coordinates:
1 Sm 0.248 0.000 0.000 [8 per cell]
2 Sm 0.250 0.250 0.250 [8 per cell]
3 Ge 0.000 0.000 0.168 [8 per cell]
4 Ge 0.000 0.248 0.416 [16 per cell]
5 Pt 0.000 0.000 0.333 [8 per cell]



Q: What is the formula in the first record?
A: Tl2GePtSe4